Structure and calculated powder X-ray diffraction pattern of Mg2AlSn2 (a cell relaxed with PBE; λ = 1.5418 Å (Cu Kα)).

Atomic structure:
a = 4.698 Å, b = 4.698 Å, c = 12.277 Å
α = 90.00°, β = 90.00°, γ = 90.00°
Positions (direct):
Mg (0.000, 0.500, 0.250)
Mg (0.000, 0.500, 0.750)
Mg (0.500, 0.000, 0.250)
Mg (0.500, 0.000, 0.750)
Al (0.000, 0.000, 0.000)
Al (0.500, 0.500, 0.500)
Sn (0.000, 0.000, 0.388)
Sn (0.000, 0.000, 0.612)
Sn (0.500, 0.500, 0.112)
Sn (0.500, 0.500, 0.888)

Top 6 peaks for 2θ = 10–80°, low angle first:
2θ 20.24, rel. 100, hkl 1 0 1; 2θ 26.84, rel. 49, hkl 1 1 0; 2θ 28.93, rel. 39, hkl 1 0 3; 2θ 38.32, rel. 42, hkl 2 0 0; 2θ 39.99, rel. 47, hkl 1 1 4; 2θ 41.50, rel. 42, hkl 1 0 5